Calculated XRD peak list
Compound: CaNd4Dy15
Radiation: CuKα
Structure: a GGA-PBE-relaxed structure
Kinematic intensities with the Lorentz-polarization factor, no thermal factor.

Principal peaks in the range 2θ = 15–90°, in order of rising 2θ:
- (1 1 5), 2θ = 30.55°, intensity 100
- (2 0 0), 2θ = 35.42°, intensity 51
- (2 2 0), 2θ = 50.95°, intensity 36
- (3 1 5), 2θ = 60.58°, intensity 43
- (2 2 10), 2θ = 63.58°, intensity 12
- (4 0 0), 2θ = 74.90°, intensity 4
- (0 0 20), 2θ = 75.01°, intensity 2
- (3 3 5), 2θ = 83.04°, intensity 17
- (4 2 0), 2θ = 85.66°, intensity 6
- (4 0 10), 2θ = 85.73°, intensity 11

Cell lengths 5.0712, 5.0712, 25.3249 Å; angles 90.00, 90.00, 90.00 degrees
Sites, in units of the cell vectors:
Ca  0.0000  0.0000  0.0000
Nd  0.0000  0.0000  0.2008
Nd  0.0000  0.0000  0.4004
Nd  0.0000  0.0000  0.5996
Nd  0.0000  0.0000  0.7992
Dy  0.0000  0.5000  0.1033
Dy  0.0000  0.5000  0.3010
Dy  0.0000  0.5000  0.5000
Dy  0.0000  0.5000  0.6990
Dy  0.0000  0.5000  0.8967
Dy  0.5000  0.0000  0.1033
Dy  0.5000  0.0000  0.3010
Dy  0.5000  0.0000  0.5000
Dy  0.5000  0.0000  0.6990
Dy  0.5000  0.0000  0.8967
Dy  0.5000  0.5000  0.0000
Dy  0.5000  0.5000  0.2002
Dy  0.5000  0.5000  0.4001
Dy  0.5000  0.5000  0.5999
Dy  0.5000  0.5000  0.7998